(1)
Structure and theoretical PXRD pattern of MgHg4Os (the PBE geometry in Alexandria; Cu Kα, 1.54184 Å).
No peak broadening, texture or thermal motion is included.

Crystal structure
a b c (Å): 5.643 5.643 5.643
angles (deg): 60.00 60.00 60.00
Element x y z (fractional)
Mg (0.000, 0.000, 0.000)
Hg (0.375, 0.375, 0.375)
Hg (0.375, 0.375, 0.874)
Hg (0.375, 0.874, 0.375)
Hg (0.874, 0.375, 0.375)
Os (0.750, 0.750, 0.750)

Peak list (10 most intense, 2θ = 10–90°, by angle)
4.608 Å, 2θ = 19.26°, intensity 41; 2.822 Å, 2θ = 31.71°, intensity 11; 2.406 Å, 2θ = 37.37°, intensity 100; 2.304 Å, 2θ = 39.10°, intensity 62; 1.995 Å, 2θ = 45.46°, intensity 16; 1.831 Å, 2θ = 49.80°, intensity 11; 1.536 Å, 2θ = 60.26°, intensity 34; 1.411 Å, 2θ = 66.24°, intensity 31; 1.217 Å, 2θ = 78.61°, intensity 12; 1.203 Å, 2θ = 79.70°, intensity 25

=====

(2)
Structure and theoretical PXRD pattern of NaCaScZnSi4O12 (the PBE geometry in Alexandria; Cu Kα, 1.54184 Å).
No peak broadening, texture or thermal motion is included.

Crystal structure
a b c (Å): 5.367 9.099 9.884
angles (deg): 90.00 104.83 90.00
Element x y z (fractional)
Na (0.000, 0.052, 0.250)
Na (0.000, 0.948, 0.750)
Ca (0.500, 0.453, 0.250)
Ca (0.500, 0.547, 0.750)
Sc (0.500, 0.146, 0.750)
Sc (0.500, 0.854, 0.250)
Zn (0.000, 0.347, 0.750)
Zn (0.000, 0.653, 0.250)
Si (0.199, 0.341, 0.461)
Si (0.199, 0.659, 0.961)
Si (0.298, 0.161, 0.038)
Si (0.298, 0.839, 0.538)
Si (0.702, 0.161, 0.462)
Si (0.702, 0.839, 0.962)
Si (0.801, 0.341, 0.039)
Si (0.801, 0.659, 0.539)
O (0.092, 0.266, 0.099)
O (0.092, 0.734, 0.599)
O (0.209, 0.499, 0.388)
O (0.209, 0.501, 0.888)
O (0.224, 0.166, 0.867)
O (0.224, 0.834, 0.367)
O (0.284, 0.335, 0.632)
O (0.284, 0.665, 0.132)
O (0.300, 0.003, 0.111)
O (0.300, 0.997, 0.611)
O (0.414, 0.242, 0.400)
O (0.414, 0.758, 0.900)
O (0.586, 0.242, 0.100)
O (0.586, 0.758, 0.600)
O (0.700, 0.003, 0.389)
O (0.700, 0.997, 0.889)
O (0.716, 0.335, 0.868)
O (0.716, 0.665, 0.368)
O (0.776, 0.166, 0.633)
O (0.776, 0.834, 0.133)
O (0.791, 0.499, 0.112)
O (0.791, 0.501, 0.612)
O (0.908, 0.266, 0.401)
O (0.908, 0.734, 0.901)

Peak list (10 most intense, 2θ = 10–90°, by angle)
6.589 Å, 2θ = 13.44°, intensity 25; 3.061 Å, 2θ = 29.18°, intensity 100; 3.006 Å, 2θ = 29.72°, intensity 40; 2.618 Å, 2θ = 34.25°, intensity 26; 2.573 Å, 2θ = 34.87°, intensity 40; 2.556 Å, 2θ = 35.11°, intensity 40; 2.181 Å, 2θ = 41.41°, intensity 21; 1.788 Å, 2θ = 51.09°, intensity 15; 1.661 Å, 2θ = 55.31°, intensity 33; 1.446 Å, 2θ = 64.44°, intensity 17

=====

(3)
Structure and theoretical PXRD pattern of NdEr2PuO8 (the PBE geometry in Alexandria; Cu Kα, 1.54184 Å).
No peak broadening, texture or thermal motion is included.

Crystal structure
a b c (Å): 5.098 5.098 7.053
angles (deg): 90.00 90.00 90.08
Element x y z (fractional)
Nd (0.000, 0.000, 0.000)
Er (0.500, 0.500, 0.242)
Er (0.500, 0.500, 0.758)
Pu (0.000, 0.000, 0.500)
O (0.188, 0.812, 0.285)
O (0.188, 0.812, 0.715)
O (0.279, 0.279, 0.500)
O (0.317, 0.317, 0.000)
O (0.683, 0.683, 0.000)
O (0.721, 0.721, 0.500)
O (0.812, 0.188, 0.285)
O (0.812, 0.188, 0.715)

Peak list (10 most intense, 2θ = 10–90°, by angle)
3.605 Å, 2θ = 24.70°, intensity 100; 2.900 Å, 2θ = 30.83°, intensity 95; 2.549 Å, 2θ = 35.21°, intensity 28; 1.915 Å, 2θ = 47.49°, intensity 72; 1.802 Å, 2θ = 50.65°, intensity 17; 1.612 Å, 2θ = 57.14°, intensity 18; 1.584 Å, 2θ = 58.25°, intensity 19; 1.531 Å, 2θ = 60.48°, intensity 20; 1.190 Å, 2θ = 80.78°, intensity 13; 1.167 Å, 2θ = 82.71°, intensity 14

=====

(4)
Structure and theoretical PXRD pattern of AcPu2TlO8 (the PBE geometry in Alexandria; Cu Kα, 1.54184 Å).
No peak broadening, texture or thermal motion is included.

Crystal structure
a b c (Å): 6.700 6.700 6.700
angles (deg): 130.75 130.75 72.21
Element x y z (fractional)
Ac (0.000, 0.000, 0.000)
Pu (0.500, 0.500, 0.000)
Pu (0.750, 0.250, 0.500)
Tl (0.250, 0.750, 0.500)
O (0.118, 0.579, 0.927)
O (0.135, 0.118, 0.530)
O (0.394, 0.865, 0.983)
O (0.421, 0.349, 0.540)
O (0.589, 0.606, 0.470)
O (0.651, 0.191, 0.073)
O (0.809, 0.882, 0.460)
O (0.882, 0.411, 0.017)

Peak list (10 most intense, 2θ = 10–90°, by angle)
3.190 Å, 2θ = 27.97°, intensity 100; 2.792 Å, 2θ = 32.06°, intensity 26; 2.707 Å, 2θ = 33.10°, intensity 12; 1.974 Å, 2θ = 45.97°, intensity 17; 1.943 Å, 2θ = 46.74°, intensity 32; 1.679 Å, 2θ = 54.68°, intensity 32; 1.641 Å, 2θ = 56.03°, intensity 15; 1.595 Å, 2θ = 57.81°, intensity 11; 1.262 Å, 2θ = 75.30°, intensity 13; 1.134 Å, 2θ = 85.69°, intensity 11

=====

(5)
Structure and theoretical PXRD pattern of Ho7Tm2Sc3 (the PBE geometry in Alexandria; Cu Kα, 1.54184 Å).
No peak broadening, texture or thermal motion is included.

Crystal structure
a b c (Å): 18.530 18.530 3.486
angles (deg): 90.00 90.00 162.83
Element x y z (fractional)
Ho (0.000, 0.000, 0.000)
Ho (0.072, 0.928, 0.500)
Ho (0.232, 0.768, 0.000)
Ho (0.407, 0.593, 0.000)
Ho (0.593, 0.407, 0.000)
Ho (0.768, 0.232, 0.000)
Ho (0.928, 0.072, 0.500)
Tm (0.149, 0.851, 0.000)
Tm (0.851, 0.149, 0.000)
Sc (0.314, 0.686, 0.500)
Sc (0.500, 0.500, 0.500)
Sc (0.686, 0.314, 0.500)

Peak list (10 most intense, 2θ = 10–90°, by angle)
5.471 Å, 2θ = 16.20°, intensity 30; 3.054 Å, 2θ = 29.24°, intensity 24; 2.854 Å, 2θ = 31.34°, intensity 29; 2.769 Å, 2θ = 32.33°, intensity 100; 2.736 Å, 2θ = 32.73°, intensity 96; 2.570 Å, 2θ = 34.92°, intensity 52; 2.512 Å, 2θ = 35.75°, intensity 43; 2.208 Å, 2θ = 40.87°, intensity 22; 1.959 Å, 2θ = 46.35°, intensity 25; 1.742 Å, 2θ = 52.52°, intensity 23

=====

(6)
Structure and theoretical PXRD pattern of NaZrH3 (the PBE geometry in Alexandria; Cu Kα, 1.54184 Å).
No peak broadening, texture or thermal motion is included.

Crystal structure
a b c (Å): 3.984 3.984 3.984
angles (deg): 90.00 90.00 90.00
Element x y z (fractional)
Na (0.000, 0.000, 0.000)
Zr (0.500, 0.500, 0.500)
H (0.000, 0.500, 0.500)
H (0.500, 0.000, 0.500)
H (0.500, 0.500, 0.000)

Peak list (10 most intense, 2θ = 10–90°, by angle)
3.984 Å, 2θ = 22.31°, intensity 46; 2.817 Å, 2θ = 31.76°, intensity 100; 2.300 Å, 2θ = 39.16°, intensity 12; 1.992 Å, 2θ = 45.53°, intensity 19; 1.782 Å, 2θ = 51.27°, intensity 18; 1.627 Å, 2θ = 56.58°, intensity 37; 1.409 Å, 2θ = 66.36°, intensity 12; 1.328 Å, 2θ = 70.97°, intensity 9; 1.260 Å, 2θ = 75.45°, intensity 15; 1.201 Å, 2θ = 79.84°, intensity 5